(1)
Starting from a crystal structure in OQMD, relaxed with GGA-PBE, the PXRD pattern of TbGaPd2 was calculated for Cu Ka.

Largest 10 diffraction maxima, in order of falling intensity, 2θ from 10° to 90°:
| 2θ (°) | I_rel |
| --- | --- |
| 36.30 | 1000 |
| 34.86 | 783 |
| 39.94 | 580 |
| 31.52 | 489 |
| 38.44 | 484 |
| 42.85 | 417 |
| 31.94 | 392 |
| 42.55 | 313 |
| 34.00 | 292 |
| 63.45 | 214 |

Atomic structure:
```
TbGaPd2
1.0
7.387 0.000 0.000
0.000 7.176 0.000
0.000 0.000 5.646
Tb Ga Pd
4 4 8
direct
0.031 0.250 0.145
0.469 0.750 0.645
0.531 0.250 0.355
0.969 0.750 0.855
0.115 0.750 0.357
0.385 0.250 0.857
0.615 0.750 0.143
0.885 0.250 0.643
0.183 0.051 0.589
0.183 0.449 0.589
0.317 0.551 0.089
0.317 0.949 0.089
0.683 0.051 0.911
0.683 0.449 0.911
0.817 0.551 0.411
0.817 0.949 0.411
```

(2)
Starting from a crystal structure in OQMD, relaxed with GGA-PBE, the PXRD pattern of Y2Ga3Pd4 was calculated for Cu Ka.

Largest 10 diffraction maxima, in order of falling intensity, 2θ from 10° to 90°:
| 2θ (°) | I_rel |
| --- | --- |
| 39.77 | 1000 |
| 35.53 | 836 |
| 36.11 | 415 |
| 36.88 | 400 |
| 42.65 | 339 |
| 37.32 | 243 |
| 69.86 | 185 |
| 59.30 | 183 |
| 48.43 | 164 |
| 47.09 | 161 |

Atomic structure:
```
Y2Ga3Pd4
1.0
2.800 -7.608 0.000
2.800 7.608 0.000
0.000 0.000 7.719
Y Ga Pd
4 6 8
direct
0.110 0.890 0.916
0.390 0.610 0.416
0.610 0.390 0.584
0.890 0.110 0.084
0.000 0.000 0.500
0.020 0.480 0.750
0.480 0.020 0.250
0.500 0.500 0.000
0.520 0.980 0.750
0.980 0.520 0.250
0.183 0.817 0.519
0.191 0.309 0.750
0.309 0.191 0.250
0.317 0.683 0.019
0.683 0.317 0.981
0.691 0.809 0.750
0.809 0.691 0.250
0.817 0.183 0.481
```

(3)
Starting from a crystal structure in OQMD, relaxed with GGA-PBE, the PXRD pattern of ZrGa2Pd2 was calculated for Cu Ka.

Largest 10 diffraction maxima, in order of falling intensity, 2θ from 10° to 90°:
| 2θ (°) | I_rel |
| --- | --- |
| 35.91 | 1000 |
| 45.52 | 466 |
| 33.47 | 289 |
| 46.48 | 286 |
| 47.74 | 209 |
| 77.80 | 200 |
| 66.33 | 146 |
| 16.35 | 146 |
| 68.09 | 139 |
| 86.91 | 117 |

Atomic structure:
```
ZrGa2Pd2
1.0
3.986 0.000 0.000
0.000 3.986 0.000
0.000 0.000 10.844
Zr Ga Pd
2 4 4
direct
0.000 0.000 0.000
0.500 0.500 0.500
0.000 0.000 0.390
0.000 0.000 0.610
0.500 0.500 0.110
0.500 0.500 0.890
0.000 0.500 0.250
0.000 0.500 0.750
0.500 0.000 0.250
0.500 0.000 0.750
```

(4)
Starting from a crystal structure in OQMD, relaxed with GGA-PBE, the PXRD pattern of PmGa6 was calculated for Cu Ka.

Largest 10 diffraction maxima, in order of falling intensity, 2θ from 10° to 90°:
| 2θ (°) | I_rel |
| --- | --- |
| 32.02 | 1000 |
| 41.35 | 497 |
| 31.51 | 362 |
| 42.57 | 350 |
| 35.42 | 344 |
| 41.08 | 326 |
| 53.91 | 239 |
| 77.08 | 195 |
| 69.85 | 192 |
| 68.99 | 149 |

Atomic structure:
```
PmGa6
1.0
6.007 0.000 0.000
0.000 6.007 0.000
0.000 0.000 7.636
Pm Ga
2 12
direct
0.250 0.750 0.000
0.750 0.250 0.000
0.068 0.568 0.352
0.068 0.932 0.648
0.250 0.250 0.163
0.250 0.250 0.837
0.432 0.568 0.648
0.432 0.932 0.352
0.568 0.068 0.648
0.568 0.432 0.352
0.750 0.750 0.163
0.750 0.750 0.837
0.932 0.068 0.352
0.932 0.432 0.648
```

(5)
Starting from a crystal structure in OQMD, relaxed with GGA-PBE, the PXRD pattern of Pm5Ga2Sn was calculated for Cu Ka.

Largest 10 diffraction maxima, in order of falling intensity, 2θ from 10° to 90°:
| 2θ (°) | I_rel |
| --- | --- |
| 31.22 | 1000 |
| 35.29 | 558 |
| 33.65 | 456 |
| 29.63 | 225 |
| 54.89 | 202 |
| 25.55 | 177 |
| 31.46 | 171 |
| 50.60 | 170 |
| 63.88 | 122 |
| 64.65 | 112 |

Atomic structure:
```
Pm5Ga2Sn
1.0
-4.021 4.021 7.112
4.021 -4.021 7.112
4.021 4.021 -7.112
Pm Ga Sn
10 4 2
direct
0.000 0.000 0.000
0.023 0.523 0.836
0.187 0.023 0.500
0.313 0.813 0.836
0.477 0.313 0.500
0.500 0.500 0.000
0.523 0.687 0.500
0.687 0.187 0.164
0.813 0.977 0.500
0.977 0.477 0.164
0.123 0.377 0.500
0.377 0.877 0.253
0.623 0.123 0.747
0.877 0.623 0.500
0.250 0.250 0.000
0.750 0.750 0.000
```

(6)
Starting from a crystal structure in OQMD, relaxed with GGA-PBE, the PXRD pattern of PmThGa was calculated for Cu Ka.

Largest 10 diffraction maxima, in order of falling intensity, 2θ from 10° to 90°:
| 2θ (°) | I_rel |
| --- | --- |
| 35.62 | 1000 |
| 24.98 | 551 |
| 63.98 | 369 |
| 57.84 | 229 |
| 51.26 | 179 |
| 44.00 | 167 |
| 86.30 | 166 |
| 21.59 | 131 |
| 75.43 | 115 |
| 80.90 | 112 |

Atomic structure:
```
PmThGa
1.0
7.129 0.000 0.000
0.000 7.129 0.000
0.000 0.000 7.129
Pm Th Ga
4 4 4
direct
0.000 0.000 0.000
0.000 0.500 0.500
0.500 0.000 0.500
0.500 0.500 0.000
0.000 0.000 0.500
0.000 0.500 0.000
0.500 0.000 0.000
0.500 0.500 0.500
0.250 0.250 0.250
0.250 0.750 0.750
0.750 0.250 0.750
0.750 0.750 0.250
```

(7)
Starting from a crystal structure in OQMD, relaxed with GGA-PBE, the PXRD pattern of PrGa3 was calculated for Cu Ka.

Largest 10 diffraction maxima, in order of falling intensity, 2θ from 10° to 90°:
| 2θ (°) | I_rel |
| --- | --- |
| 37.42 | 1000 |
| 31.60 | 256 |
| 39.66 | 211 |
| 25.12 | 206 |
| 56.28 | 157 |
| 71.03 | 154 |
| 70.50 | 150 |
| 51.57 | 127 |
| 69.55 | 102 |
| 42.22 | 97 |

Atomic structure:
```
PrGa3
1.0
6.539 0.000 0.000
-3.269 5.663 0.000
0.000 0.000 4.545
Pr Ga
2 6
direct
0.333 0.667 0.250
0.667 0.333 0.750
0.142 0.284 0.750
0.142 0.858 0.750
0.284 0.142 0.250
0.716 0.858 0.750
0.858 0.142 0.250
0.858 0.716 0.250
```

(8)
Starting from a crystal structure in OQMD, relaxed with GGA-PBE, the PXRD pattern of PrGa was calculated for Cu Ka.

Largest 10 diffraction maxima, in order of falling intensity, 2θ from 10° to 90°:
| 2θ (°) | I_rel |
| --- | --- |
| 30.12 | 1000 |
| 37.64 | 536 |
| 30.74 | 478 |
| 39.90 | 272 |
| 31.39 | 243 |
| 26.39 | 236 |
| 43.16 | 221 |
| 38.18 | 207 |
| 53.92 | 195 |
| 60.22 | 160 |

Atomic structure:
```
PrGa
1.0
4.519 0.000 0.000
0.000 11.401 0.000
0.000 0.000 4.192
Pr Ga
4 4
direct
0.000 0.140 0.250
0.000 0.860 0.750
0.500 0.360 0.750
0.500 0.640 0.250
0.000 0.429 0.250
0.000 0.571 0.750
0.500 0.071 0.750
0.500 0.929 0.250
```